Structure and theoretical powder diffractogram of NbBr5N2 (a cell relaxed with GGA-PBE; Cu Kα (λ = 1.5418 Å)).

Crystal structure
a = 7.437 Å, b = 7.437 Å, c = 19.978 Å
α = 90.00°, β = 90.00°, γ = 90.00°
Positions (direct):
1 Nb 0.000 0.000 0.094
2 Nb 0.000 0.000 0.906
3 Nb 0.500 0.500 0.406
4 Nb 0.500 0.500 0.594
5 Br 0.000 0.000 0.235
6 Br 0.000 0.000 0.765
7 Br 0.184 0.285 0.106
8 Br 0.184 0.285 0.894
9 Br 0.215 0.316 0.394
10 Br 0.215 0.316 0.606
11 Br 0.285 0.816 0.106
12 Br 0.285 0.816 0.894
13 Br 0.316 0.785 0.394
14 Br 0.316 0.785 0.606
15 Br 0.500 0.500 0.265
16 Br 0.500 0.500 0.735
17 Br 0.684 0.215 0.394
18 Br 0.684 0.215 0.606
19 Br 0.715 0.184 0.106
20 Br 0.715 0.184 0.894
21 Br 0.785 0.684 0.394
22 Br 0.785 0.684 0.606
23 Br 0.816 0.715 0.106
24 Br 0.816 0.715 0.894
25 N 0.000 0.000 0.000
26 N 0.000 0.000 0.500
27 N 0.000 0.500 0.250
28 N 0.000 0.500 0.750
29 N 0.500 0.000 0.250
30 N 0.500 0.000 0.750
31 N 0.500 0.500 0.000
32 N 0.500 0.500 0.500

Principal peaks in the range 5° ≤ 2θ ≤ 70°, in order of rising 2θ:
d [Å]	two_theta	Rel. int.
6.969	12.7	100
5.259	16.9	47
4.995	17.8	60
3.328	26.8	94
2.982	30.0	75
2.768	32.3	44
2.629	34.1	59
2.352	38.3	48
2.063	43.9	34
1.696	54.1	22